Structure and computed PXRD pattern of Cd2ReAs (a structure optimized by DFT (PBE); Cu Kα (λ = 1.5418 Å)).
Intensities are scaled so that the largest is 100.

Atomic structure:
a = 10.744 Å, b = 10.744 Å, c = 10.744 Å
α = 16.05°, β = 16.05°, γ = 16.05°
Positions (direct):
Cd1 0.000 0.000 0.000
Cd2 0.237 0.237 0.237
Re1 0.743 0.743 0.743
As1 0.466 0.466 0.466

Most intense lines, 2θ = 10–90°, by angle:
| 2theta | I/Imax |
| --- | --- |
| 16.72 | 21 |
| 33.81 | 23 |
| 36.38 | 100 |
| 39.97 | 12 |
| 41.52 | 55 |
| 45.05 | 10 |
| 47.02 | 11 |
| 53.58 | 10 |
| 58.45 | 10 |
| 61.85 | 22 |
| 72.38 | 15 |
| 73.92 | 12 |